Structure and theoretical PXRD pattern of Ba2Sm2Fe4O11 (a structure optimized by DFT (GGA+U); λ = 1.5418 Å (Cu Kα)).

Cell and atoms:
```
Ba2Sm2Fe4O11
1.0
4.0286 -7.8661 0.0000
4.0286 7.8661 0.0000
0.0000 0.0000 3.9388
Ba Sm Fe O
2 2 4 11
Cartesian
2.0143 3.9330 0.0000
2.0143 -3.9330 0.0000
1.8508 0.0000 0.0000
6.2064 0.0000 0.0000
4.0286 5.9318 1.9694
4.0286 1.9431 1.9694
4.0286 -1.9431 1.9694
4.0286 -5.9318 1.9694
0.0000 0.0000 1.9694
4.0286 6.0317 0.0000
2.0880 1.6183 1.9694
4.0286 3.8874 1.9694
2.0880 -1.6183 1.9694
4.0286 1.4099 0.0000
4.0286 -1.4099 0.0000
5.9693 1.6183 1.9694
4.0286 -3.8874 1.9694
5.9693 -1.6183 1.9694
4.0286 -6.0317 0.0000
```

Largest 6 diffraction maxima, by angle, 2θ = 10–90°:
two_theta	d [Å]	I/Imax
31.79	2.815	100.0
32.16	2.783	52.7
39.35	2.290	23.9
46.12	1.968	29.0
56.39	1.632	18.9
57.11	1.613	41.1

***

Structure and theoretical PXRD pattern of BaSmFe4O12 (a structure optimized by DFT (GGA+U); λ = 1.5418 Å (Cu Kα)).

Cell and atoms:
```
BaSmFe4O12
1.0
5.4674 0.0000 0.0000
0.0000 5.4674 0.0000
0.0000 0.0000 7.7011
Ba Sm Fe O
1 1 4 12
Cartesian
0.0000 0.0000 0.0000
2.7337 2.7337 3.8505
0.0000 2.7337 1.9322
0.0000 2.7337 5.7688
2.7337 0.0000 1.9322
2.7337 0.0000 5.7688
0.0000 2.7337 0.0000
0.0000 2.7337 3.8505
1.4223 1.4223 2.0520
1.4223 1.4223 5.6490
1.4223 4.0451 2.0520
1.4223 4.0451 5.6490
2.7337 0.0000 0.0000
2.7337 0.0000 3.8505
4.0451 1.4223 2.0520
4.0451 1.4223 5.6490
4.0451 4.0451 2.0520
4.0451 4.0451 5.6490
```

Largest 6 diffraction maxima, by angle, 2θ = 10–90°:
two_theta	d [Å]	I/Imax
19.92	4.458	90.8
32.80	2.730	100.0
38.64	2.330	32.9
47.01	1.933	28.4
51.59	1.771	21.6
58.52	1.577	25.5

***

Structure and theoretical PXRD pattern of Ba2SmFeO6 (a structure optimized by DFT (GGA+U); λ = 1.5418 Å (Cu Kα)).

Cell and atoms:
```
Ba2SmFeO6
1.0
0.0000 4.2035 4.2035
4.2035 0.0000 4.2035
4.2035 4.2035 0.0000
Ba Sm Fe O
2 1 1 6
Cartesian
2.1018 2.1018 2.1018
6.3053 6.3053 6.3053
0.0000 0.0000 0.0000
4.2035 4.2035 4.2035
4.2035 4.2035 2.2798
4.2035 2.2798 4.2035
6.1272 4.2035 4.2035
2.2798 4.2035 4.2035
4.2035 6.1272 4.2035
4.2035 4.2035 6.1272
```

Largest 6 diffraction maxima, by angle, 2θ = 10–90°:
two_theta	d [Å]	I/Imax
30.06	2.972	100.0
43.04	2.102	30.2
53.39	1.716	39.4
62.49	1.486	18.5
70.90	1.329	17.9
86.66	1.123	21.3

***

Structure and theoretical PXRD pattern of BaSrFe4O12 (a structure optimized by DFT (GGA+U); λ = 1.5418 Å (Cu Kα)).

Cell and atoms:
```
BaSrFe4O12
1.0
5.4906 0.0000 0.0000
0.0000 5.4906 0.0000
0.0000 0.0000 7.7940
Ba Sr Fe O
1 1 4 12
Cartesian
0.0000 0.0000 0.0000
2.7453 2.7453 3.8970
0.0000 2.7453 1.9622
0.0000 2.7453 5.8318
2.7453 0.0000 1.9622
2.7453 0.0000 5.8318
0.0000 2.7453 0.0000
0.0000 2.7453 3.8970
1.3920 1.3920 1.9979
1.3920 1.3920 5.7961
1.3920 4.0986 1.9979
1.3920 4.0986 5.7961
2.7453 0.0000 0.0000
2.7453 0.0000 3.8970
4.0986 1.3920 1.9979
4.0986 1.3920 5.7961
4.0986 4.0986 1.9979
4.0986 4.0986 5.7961
```

Largest 6 diffraction maxima, by angle, 2θ = 10–90°:
two_theta	d [Å]	I/Imax
19.78	4.489	74.0
32.58	2.749	100.0
38.44	2.342	26.9
46.80	1.941	31.5
58.17	1.586	25.1
68.19	1.375	17.6

***

Structure and theoretical PXRD pattern of BaSrFeO3 (a structure optimized by DFT (GGA+U); λ = 1.5418 Å (Cu Kα)).

Cell and atoms:
```
BaSrFeO3
1.0
6.9039 -2.0340 0.0000
6.9039 2.0340 0.0000
-2.0087 0.0000 7.2010
Ba Sr Fe O
2 2 2 6
Cartesian
1.8788 0.0000 0.5483
9.9201 0.0000 6.6527
0.9254 0.0000 4.1233
10.8735 0.0000 3.0777
5.4286 0.0000 5.2542
6.3703 0.0000 1.9468
-0.5363 0.0000 1.9607
3.4260 0.0000 4.7506
4.4104 0.0000 1.3502
7.3886 0.0000 5.8508
8.3730 0.0000 2.4504
12.3352 0.0000 5.2403
```

Largest 6 diffraction maxima, by angle, 2θ = 10–90°:
two_theta	d [Å]	I/Imax
29.81	2.997	66.8
31.30	2.858	78.0
32.53	2.752	100.0
42.64	2.120	28.8
53.04	1.726	31.7
55.45	1.657	30.3

***

Structure and theoretical PXRD pattern of Ba4SrFe5O15 (a structure optimized by DFT (GGA+U); λ = 1.5418 Å (Cu Kα)).

Cell and atoms:
```
Ba4SrFe5O15
1.0
4.0114 0.0000 0.0000
0.0000 4.0114 0.0000
0.0000 0.0000 20.1013
Ba Sr Fe O
4 1 5 15
Cartesian
0.0000 0.0000 2.0304
0.0000 0.0000 6.0940
0.0000 0.0000 14.0073
0.0000 0.0000 18.0708
0.0000 0.0000 10.0506
2.0057 2.0057 0.0000
2.0057 2.0057 4.0579
2.0057 2.0057 8.1012
2.0057 2.0057 12.0001
2.0057 2.0057 16.0434
0.0000 2.0057 0.0000
0.0000 2.0057 4.0710
0.0000 2.0057 8.1621
0.0000 2.0057 11.9392
0.0000 2.0057 16.0303
2.0057 0.0000 0.0000
2.0057 0.0000 4.0710
2.0057 0.0000 8.1621
2.0057 0.0000 11.9392
2.0057 0.0000 16.0303
2.0057 2.0057 2.0257
2.0057 2.0057 6.1197
2.0057 2.0057 10.0506
2.0057 2.0057 13.9816
2.0057 2.0057 18.0756
```

Largest 6 diffraction maxima, by angle, 2θ = 10–90°:
two_theta	d [Å]	I/Imax
31.52	2.839	100.0
38.86	2.318	17.3
45.10	2.010	11.2
45.21	2.006	22.9
56.12	1.639	38.2
65.80	1.419	20.0

***

Structure and theoretical PXRD pattern of Ba3TbFe2O6 (a structure optimized by DFT (GGA+U); λ = 1.5418 Å (Cu Kα)).

Cell and atoms:
```
Ba3TbFe2O6
1.0
6.2290 0.0000 0.0000
-3.1145 5.3944 0.0000
0.0000 0.0000 7.1175
Ba Tb Fe O
3 1 2 6
Cartesian
0.0000 0.0000 0.0000
0.0000 3.5963 4.6130
3.1145 1.7981 2.5045
0.0000 0.0000 3.5588
0.0000 3.5963 1.4995
3.1145 1.7981 5.6180
0.0000 1.7945 2.1750
-1.5604 4.4972 2.1750
1.5541 0.8973 4.9425
1.5604 4.4972 2.1750
4.6749 0.8973 4.9425
3.1145 3.5999 4.9425
```

Largest 6 diffraction maxima, by angle, 2θ = 10–90°:
two_theta	d [Å]	I/Imax
12.44	7.118	21.1
28.66	3.114	100.0
30.08	2.971	85.0
42.03	2.150	47.5
50.77	1.798	20.3
51.67	1.769	37.3

***

Structure and theoretical PXRD pattern of Ba2TlFe2O7 (a structure optimized by DFT (GGA+U); λ = 1.5418 Å (Cu Kα)).

Cell and atoms:
```
Ba2TlFe2O7
1.0
3.7597 0.0000 0.0000
0.0000 3.7597 0.0000
0.0000 0.0000 13.3346
Ba Tl Fe O
2 1 2 7
Cartesian
0.0000 0.0000 2.7997
0.0000 0.0000 10.5349
1.8799 1.8799 0.0000
1.8799 1.8799 5.2773
1.8799 1.8799 8.0573
0.0000 0.0000 0.0000
0.0000 1.8799 4.9656
0.0000 1.8799 8.3690
1.8799 0.0000 4.9656
1.8799 0.0000 8.3690
1.8799 1.8799 2.0859
1.8799 1.8799 11.2487
```

Largest 6 diffraction maxima, by angle, 2θ = 10–90°:
two_theta	d [Å]	I/Imax
27.23	3.275	100.0
31.16	2.871	53.7
33.60	2.667	31.7
33.71	2.659	49.6
48.38	1.882	59.8
56.44	1.630	27.1

***

Which formula does entry 2 have?
BaSmFe4O12